# 1
Ca3AlP3: computed PXRD pattern (CuKα), based on a DFT-relaxed cell (PBE, Alexandria).
No peak broadening, texture or thermal motion is included.

Main lines, in order of rising 2θ (15 to 90 degrees two-theta):
d [Å], Rel. int.
3.225, 34
3.216, 33
2.612, 28
2.599, 100
2.528, 91
2.501, 93
2.140, 40
2.104, 90

Crystal structure
```
Ca3AlP3
1.0
8.095 0.000 0.000
0.000 7.251 0.000
-1.795 0.000 11.200
Ca Al P
12 4 12
Direct
0.093 0.239 0.081 Ca
0.093 0.261 0.581 Ca
0.214 0.742 0.219 Ca
0.214 0.758 0.719 Ca
0.402 0.182 0.882 Ca
0.402 0.318 0.382 Ca
0.598 0.682 0.618 Ca
0.598 0.818 0.118 Ca
0.786 0.242 0.281 Ca
0.786 0.258 0.781 Ca
0.907 0.739 0.419 Ca
0.907 0.761 0.919 Ca
0.318 0.581 0.962 Al
0.318 0.919 0.462 Al
0.682 0.081 0.538 Al
0.682 0.419 0.038 Al
0.103 0.075 0.338 P
0.103 0.425 0.838 P
0.248 0.608 0.490 P
0.248 0.892 0.990 P
0.433 0.071 0.642 P
0.433 0.429 0.142 P
0.567 0.571 0.858 P
0.567 0.929 0.358 P
0.752 0.108 0.010 P
0.752 0.392 0.510 P
0.897 0.575 0.162 P
0.897 0.925 0.662 P
```

# 2
LaTb4Cu4: computed PXRD pattern (CuKα), based on a DFT-relaxed cell (PBE, Alexandria).
No peak broadening, texture or thermal motion is included.

Main lines, in order of rising 2θ (15 to 90 degrees two-theta):
d [Å], Rel. int.
3.302, 65
2.877, 100
2.698, 53
2.304, 24
2.067, 29
2.035, 30
1.882, 21
1.739, 19

Crystal structure
```
LaTb4Cu4
1.0
9.099 0.000 0.000
0.000 9.099 0.000
0.000 0.000 5.649
La Tb Cu
2 8 8
Direct
0.250 0.250 0.250 La
0.750 0.750 0.750 La
0.084 0.657 0.150 Tb
0.157 0.916 0.650 Tb
0.343 0.584 0.650 Tb
0.416 0.843 0.150 Tb
0.584 0.157 0.850 Tb
0.657 0.416 0.350 Tb
0.843 0.084 0.350 Tb
0.916 0.343 0.850 Tb
0.031 0.602 0.637 Cu
0.102 0.969 0.137 Cu
0.398 0.531 0.137 Cu
0.469 0.898 0.637 Cu
0.531 0.102 0.363 Cu
0.602 0.469 0.863 Cu
0.898 0.031 0.863 Cu
0.969 0.398 0.363 Cu
```

# 3
PmHBrO2: computed PXRD pattern (CuKα), based on a DFT-relaxed cell (PBE, Alexandria).
No peak broadening, texture or thermal motion is included.

Main lines, in order of rising 2θ (15 to 90 degrees two-theta):
d [Å], Rel. int.
5.055, 72
3.938, 24
3.415, 22
2.984, 36
2.977, 56
2.699, 100
2.148, 22
1.570, 19

Crystal structure
```
PmHBrO2
1.0
5.278 0.000 0.000
0.000 3.696 0.000
-2.588 0.000 8.930
Pm H Br O
2 2 2 4
Direct
0.206 0.250 0.159 Pm
0.794 0.750 0.841 Pm
0.348 0.250 0.859 H
0.652 0.750 0.141 H
0.246 0.750 0.493 Br
0.754 0.250 0.507 Br
0.079 0.250 0.904 O
0.478 0.750 0.167 O
0.522 0.250 0.833 O
0.921 0.750 0.096 O
```

# 4
TaMn2Cl2: computed PXRD pattern (CuKα), based on a DFT-relaxed cell (PBE, Alexandria).
No peak broadening, texture or thermal motion is included.

Main lines, in order of rising 2θ (15 to 90 degrees two-theta):
d [Å], Rel. int.
5.860, 39
2.783, 44
2.773, 100
2.514, 99
2.014, 57
1.968, 42
1.605, 38
1.407, 35

Crystal structure
```
TaMn2Cl2
1.0
-1.968 1.968 5.860
1.968 -1.968 5.860
1.968 1.968 -5.860
Ta Mn Cl
1 2 2
Direct
0.000 0.000 0.000 Ta
0.388 0.388 0.000 Mn
0.612 0.612 0.000 Mn
0.250 0.750 0.500 Cl
0.750 0.250 0.500 Cl
```

# 5
Ti4CdPb: computed PXRD pattern (CuKα), based on a DFT-relaxed cell (PBE, Alexandria).
No peak broadening, texture or thermal motion is included.

Main lines, in order of rising 2θ (15 to 90 degrees two-theta):
d [Å], Rel. int.
3.297, 16
2.886, 34
2.454, 100
2.198, 17
2.105, 16
2.078, 15
1.313, 12
1.273, 12

Crystal structure
```
Ti4CdPb
1.0
2.105 -6.593 0.000
2.105 6.593 0.000
0.000 0.000 4.156
Ti Cd Pb
4 1 1
Direct
0.177 0.823 0.000 Ti
0.322 0.678 0.500 Ti
0.678 0.322 0.500 Ti
0.823 0.177 0.000 Ti
0.500 0.500 0.000 Cd
0.000 0.000 0.500 Pb
```

# 6
AgBi2Pb6: computed PXRD pattern (CuKα), based on a DFT-relaxed cell (PBE, Alexandria).
No peak broadening, texture or thermal motion is included.

Main lines, in order of rising 2θ (15 to 90 degrees two-theta):
d [Å], Rel. int.
3.370, 100
3.005, 56
2.945, 54
2.925, 65
2.794, 76
2.629, 69
2.600, 45
2.538, 49

Crystal structure
```
AgBi2Pb6
1.0
6.240 0.000 0.000
0.000 9.012 0.000
-5.743 0.000 10.153
Ag Bi Pb
2 4 12
Direct
0.000 0.000 0.000 Ag
0.000 0.500 0.500 Ag
0.160 0.080 0.780 Bi
0.160 0.420 0.280 Bi
0.840 0.580 0.720 Bi
0.840 0.920 0.220 Bi
0.122 0.163 0.483 Pb
0.122 0.337 0.983 Pb
0.316 0.732 0.443 Pb
0.316 0.768 0.943 Pb
0.402 0.070 0.273 Pb
0.402 0.430 0.773 Pb
0.598 0.570 0.227 Pb
0.598 0.930 0.727 Pb
0.684 0.232 0.057 Pb
0.684 0.268 0.557 Pb
0.878 0.663 0.017 Pb
0.878 0.837 0.517 Pb
```

# 7
Pm4AlGe5: computed PXRD pattern (CuKα), based on a DFT-relaxed cell (PBE, Alexandria).
No peak broadening, texture or thermal motion is included.

Main lines, in order of rising 2θ (15 to 90 degrees two-theta):
d [Å], Rel. int.
3.371, 27
3.008, 42
2.878, 100
2.197, 20
2.079, 65
2.035, 30
1.686, 24
1.333, 16

Crystal structure
```
Pm4AlGe5
1.0
-4.551 4.551 3.008
4.551 -4.551 3.008
4.551 4.551 -3.008
Pm Al Ge
4 1 5
Direct
0.081 0.301 0.382 Pm
0.301 0.919 0.221 Pm
0.699 0.081 0.779 Pm
0.919 0.699 0.618 Pm
0.696 0.696 0.000 Al
0.176 0.176 0.000 Ge
0.239 0.592 0.830 Ge
0.410 0.239 0.647 Ge
0.592 0.762 0.353 Ge
0.762 0.410 0.170 Ge
```

# 8
Sm2Sn3Pd2: computed PXRD pattern (CuKα), based on a DFT-relaxed cell (PBE, Alexandria).
No peak broadening, texture or thermal motion is included.

Main lines, in order of rising 2θ (15 to 90 degrees two-theta):
d [Å], Rel. int.
3.024, 26
2.841, 100
2.772, 67
2.483, 22
2.267, 46
2.213, 30
2.018, 29
1.388, 28

Crystal structure
```
Sm2Sn3Pd2
1.0
2.267 -9.934 0.000
2.267 9.934 0.000
0.000 0.000 7.416
Sm Sn Pd
4 6 4
Direct
0.043 0.957 0.750 Sm
0.162 0.838 0.250 Sm
0.838 0.162 0.750 Sm
0.957 0.043 0.250 Sm
0.215 0.785 0.750 Sn
0.430 0.570 0.553 Sn
0.430 0.570 0.947 Sn
0.570 0.430 0.053 Sn
0.570 0.430 0.447 Sn
0.785 0.215 0.250 Sn
0.298 0.702 0.046 Pd
0.298 0.702 0.454 Pd
0.702 0.298 0.546 Pd
0.702 0.298 0.954 Pd
```

# 9
Ti4SbTe: computed PXRD pattern (CuKα), based on a DFT-relaxed cell (PBE, Alexandria).
No peak broadening, texture or thermal motion is included.

Main lines, in order of rising 2θ (15 to 90 degrees two-theta):
d [Å], Rel. int.
3.320, 100
2.851, 64
2.630, 88
2.601, 68
2.581, 44
2.432, 55
2.180, 73
2.050, 83

Crystal structure
```
Ti4SbTe
1.0
5.254 0.000 0.000
0.000 5.703 0.000
-1.134 0.000 7.891
Ti Sb Te
8 2 2
Direct
0.164 0.010 0.154 Ti
0.164 0.490 0.154 Ti
0.195 0.250 0.458 Ti
0.300 0.750 0.799 Ti
0.700 0.250 0.201 Ti
0.805 0.750 0.542 Ti
0.836 0.510 0.846 Ti
0.836 0.990 0.846 Ti
0.338 0.250 0.874 Sb
0.662 0.750 0.126 Sb
0.280 0.750 0.449 Te
0.720 0.250 0.551 Te
```

# 10
AcSnAuBr: computed PXRD pattern (CuKα), based on a DFT-relaxed cell (PBE, Alexandria).
No peak broadening, texture or thermal motion is included.

Main lines, in order of rising 2θ (15 to 90 degrees two-theta):
d [Å], Rel. int.
3.802, 61
3.362, 65
2.907, 52
2.767, 25
2.511, 50
2.361, 100
2.091, 30
1.391, 34

Crystal structure
```
AcSnAuBr
1.0
2.361 1.363 13.785
-2.361 1.363 13.785
0.000 -2.726 13.785
Ac Sn Au Br
2 2 2 2
Direct
0.085 0.085 0.085 Ac
0.915 0.915 0.915 Ac
0.306 0.306 0.306 Sn
0.694 0.694 0.694 Sn
0.376 0.376 0.376 Au
0.624 0.624 0.624 Au
0.205 0.205 0.205 Br
0.795 0.795 0.795 Br
```

# 11
Y2Pt: computed PXRD pattern (CuKα), based on a DFT-relaxed cell (PBE, Alexandria).
No peak broadening, texture or thermal motion is included.

Main lines, in order of rising 2θ (15 to 90 degrees two-theta):
d [Å], Rel. int.
4.687, 82
3.468, 48
3.073, 36
2.967, 21
2.396, 100
2.343, 25
1.944, 29
1.260, 18

Crystal structure
```
Y2Pt
1.0
6.618 0.000 0.000
0.000 6.638 0.000
0.000 0.000 4.071
Y Pt
4 2
Direct
0.250 0.154 0.000 Y
0.250 0.654 0.500 Y
0.750 0.346 0.500 Y
0.750 0.846 0.000 Y
0.000 0.000 0.500 Pt
0.500 0.500 0.000 Pt
```

# 12
Rb3Tm3CrTe8: computed PXRD pattern (CuKα), based on a DFT-relaxed cell (PBE, Alexandria).
No peak broadening, texture or thermal motion is included.

Main lines, in order of rising 2θ (15 to 90 degrees two-theta):
d [Å], Rel. int.
3.245, 100
2.660, 23
2.482, 31
2.144, 35
2.084, 9
2.032, 16
1.789, 17
1.373, 14

Crystal structure
```
Rb3Tm3CrTe8
1.0
4.288 2.476 8.898
-4.288 2.476 8.898
0.000 -4.951 8.898
Rb Tm Cr Te
3 3 1 8
Direct
0.000 0.500 0.500 Rb
0.500 0.000 0.500 Rb
0.500 0.500 0.000 Rb
0.000 0.000 0.500 Tm
0.000 0.500 0.000 Tm
0.500 0.000 0.000 Tm
0.500 0.500 0.500 Cr
0.233 0.233 0.233 Te
0.252 0.717 0.717 Te
0.283 0.283 0.748 Te
0.283 0.748 0.283 Te
0.717 0.252 0.717 Te
0.717 0.717 0.252 Te
0.748 0.283 0.283 Te
0.767 0.767 0.767 Te
```

# 13
NbBr4: computed PXRD pattern (CuKα), based on a DFT-relaxed cell (PBE, Alexandria).
No peak broadening, texture or thermal motion is included.

Main lines, in order of rising 2θ (15 to 90 degrees two-theta):
d [Å], Rel. int.
5.665, 75
3.484, 100
2.940, 21
2.432, 21
2.259, 19
2.021, 29
1.994, 24
1.874, 20

Crystal structure
```
NbBr4
1.0
-3.439 3.439 4.994
3.439 -3.439 4.994
3.439 3.439 -4.994
Nb Br
1 4
Direct
0.000 0.000 0.000 Nb
0.072 0.072 0.416 Br
0.343 0.928 0.000 Br
0.657 0.657 0.584 Br
0.928 0.343 0.000 Br
```